Pm2Pr5Tm5: computed powder diffractogram (Cu Kα, 1.54184 Å), based on the PBE geometry in Alexandria.
Intensities are scaled so that the largest is 100.

Cell and atoms:
a b c (Å): 15.3254 5.0793 11.4633
angles (deg): 90.00 116.68 90.00
Space group C2/m (No. 12)
Unique sites:
1 Pm 0.0826 0.0000 0.2525 (multiplicity 4)
2 Pr 0.0000 0.0000 0.5000 (multiplicity 2)
3 Pr 0.1644 0.0000 0.9981 (multiplicity 4)
4 Pr 0.2491 0.0000 0.7467 (multiplicity 4)
5 Tm 0.0000 0.5000 0.0000 (multiplicity 2)
6 Tm 0.0818 0.5000 0.7484 (multiplicity 4)
7 Tm 0.1673 0.5000 0.5006 (multiplicity 4)

Largest 12 diffraction maxima, in order of falling intensity, 5° ≤ 2θ ≤ 70°:
hkl  2θ/deg  d/Å  intensity
3 1 1  30.34  2.946  100.0
0 0 4  35.09  2.557  34.0
6 0 2  50.60  1.804  18.1
0 2 0  35.34  2.540  16.7
3 1 5  60.03  1.541  14.4
3 3 1  60.36  1.533  14.2
6 2 -2  50.69  1.801  12.0
3 1 -7  59.90  1.544  7.2
9 1 -1  60.16  1.538  7.2
6 2 -6  63.02  1.475  6.2
6 2 2  63.20  1.471  6.2
6 0 -6  50.36  1.812  6.1